Entry 1:
For Na3LaTi2Nb2O12, a crystal structure in the Materials Project, relaxed with GGA-PBE gives the simulated powder X-ray diffraction pattern in this record (λ = 1.5418 Å (Cu Kα)).
Neutral-atom scattering factors, no anomalous dispersion.

Structural model:
Unit cell a=5.581 b=5.581 c=7.911 alpha=90.09 beta=90.09 gamma=90.46
Fractional coordinates of all 20 atoms:
1 Na 0.000 0.000 0.000
2 Na 0.494 0.506 0.500
3 Na 0.994 0.006 0.500
4 La 0.509 0.491 0.000
5 Ti 0.000 0.500 0.245
6 Ti 0.500 0.000 0.755
7 Nb 0.498 0.001 0.262
8 Nb 0.999 0.502 0.738
9 O 0.028 0.538 0.497
10 O 0.230 0.245 0.240
11 O 0.234 0.241 0.760
12 O 0.266 0.729 0.208
13 O 0.271 0.734 0.792
14 O 0.462 0.972 0.503
15 O 0.526 0.046 0.997
16 O 0.720 0.276 0.726
17 O 0.724 0.280 0.274
18 O 0.755 0.770 0.760
19 O 0.759 0.766 0.240
20 O 0.954 0.474 0.003

Top 12 peaks for 10 to 80 degrees two-theta, low angle first:
2θ (°)	I (rel.)
11.2	26
15.9	27
19.5	53
22.5	20
32.0	99
32.1	100
37.7	22
45.8	56
46.2	27
57.0	40
57.3	27
67.1	22

=====

Entry 2:
For Na3LaTi2Nb2O12, a crystal structure in the Materials Project, relaxed with GGA-PBE gives the simulated powder X-ray diffraction pattern in this record (λ = 1.5418 Å (Cu Kα)).
Neutral-atom scattering factors, no anomalous dispersion.

Structural model:
Unit cell a=7.780 b=7.927 c=11.041 alpha=90.00 beta=134.78 gamma=90.00
Fractional coordinates of all 40 atoms:
1 Na 0.000 0.242 0.250
2 Na 0.000 0.758 0.750
3 Na 0.500 0.245 0.250
4 Na 0.500 0.251 0.750
5 Na 0.500 0.749 0.250
6 Na 0.500 0.755 0.750
7 La 0.000 0.258 0.750
8 La 0.000 0.742 0.250
9 Ti 0.000 0.500 0.000
10 Ti 0.000 0.500 0.500
11 Ti 0.500 0.000 0.000
12 Ti 0.500 0.000 0.500
13 Nb 0.000 0.000 0.000
14 Nb 0.000 0.000 0.500
15 Nb 0.500 0.500 0.000
16 Nb 0.500 0.500 0.500
17 O 0.034 0.253 0.001
18 O 0.034 0.747 0.501
19 O 0.193 0.481 0.446
20 O 0.193 0.519 0.946
21 O 0.199 0.006 0.752
22 O 0.199 0.994 0.252
23 O 0.290 0.483 0.748
24 O 0.290 0.517 0.248
25 O 0.296 0.023 0.544
26 O 0.296 0.977 0.044
27 O 0.468 0.248 0.001
28 O 0.468 0.752 0.501
29 O 0.532 0.248 0.499
30 O 0.532 0.752 0.999
31 O 0.704 0.023 0.956
32 O 0.704 0.977 0.456
33 O 0.710 0.483 0.752
34 O 0.710 0.517 0.252
35 O 0.801 0.006 0.748
36 O 0.801 0.994 0.248
37 O 0.807 0.481 0.054
38 O 0.807 0.519 0.554
39 O 0.966 0.253 0.499
40 O 0.966 0.747 0.999

Top 12 peaks for 10 to 80 degrees two-theta, low angle first:
2θ (°)	I (rel.)
15.9	76
16.1	37
19.6	30
32.1	88
32.2	91
32.4	100
45.8	41
46.3	36
46.7	34
57.2	39
57.6	40
57.8	42

=====

Entry 3:
For NaLaZrNbO6, a crystal structure in the Materials Project, relaxed with GGA-PBE gives the simulated powder X-ray diffraction pattern in this record (λ = 1.5418 Å (Cu Kα)).
Neutral-atom scattering factors, no anomalous dispersion.

Structural model:
Unit cell a=5.813 b=5.813 c=5.813 alpha=60.00 beta=60.00 gamma=60.00
Fractional coordinates of all 10 atoms:
1 Na 0.000 0.000 0.000
2 La 0.500 0.500 0.500
3 Zr 0.750 0.750 0.750
4 Nb 0.250 0.250 0.250
5 O 0.004 0.004 0.496
6 O 0.004 0.496 0.004
7 O 0.004 0.496 0.496
8 O 0.496 0.004 0.004
9 O 0.496 0.004 0.496
10 O 0.496 0.496 0.004

Top 12 peaks for 10 to 80 degrees two-theta, low angle first:
2θ (°)	I (rel.)
18.7	28
21.6	5
30.8	100
36.2	16
44.1	36
48.3	7
54.7	40
58.3	6
64.1	21
67.4	5
72.8	17
75.9	2

=====

Entry 4:
For NaLaO2, a crystal structure in the Materials Project, relaxed with GGA-PBE gives the simulated powder X-ray diffraction pattern in this record (λ = 1.5418 Å (Cu Kα)).
Neutral-atom scattering factors, no anomalous dispersion.

Structural model:
Unit cell a=7.859 b=7.859 c=6.443 alpha=103.73 beta=103.73 gamma=127.46
Fractional coordinates of all 16 atoms:
1 Na 0.069 0.931 0.750
2 Na 0.305 0.695 0.750
3 Na 0.695 0.305 0.250
4 Na 0.931 0.069 0.250
5 La 0.182 0.818 0.250
6 La 0.443 0.557 0.250
7 La 0.557 0.443 0.750
8 La 0.818 0.182 0.750
9 O 0.057 0.430 0.203
10 O 0.211 0.335 0.797
11 O 0.335 0.211 0.297
12 O 0.430 0.057 0.703
13 O 0.570 0.943 0.297
14 O 0.665 0.789 0.703
15 O 0.789 0.665 0.203
16 O 0.943 0.570 0.797

Top 12 peaks for 10 to 80 degrees two-theta, low angle first:
2θ (°)	I (rel.)
16.4	100
24.3	52
28.4	18
30.2	56
30.4	28
30.6	29
32.9	50
36.3	79
47.8	21
49.7	30
49.9	28
61.4	17

=====

Entry 5:
For NaLaO2, a crystal structure in the Materials Project, relaxed with GGA-PBE gives the simulated powder X-ray diffraction pattern in this record (λ = 1.5418 Å (Cu Kα)).
Neutral-atom scattering factors, no anomalous dispersion.

Structural model:
Unit cell a=3.682 b=3.682 c=16.844 alpha=90.00 beta=90.00 gamma=120.00
Fractional coordinates of all 12 atoms:
1 Na 0.000 0.000 0.000
2 Na 0.333 0.667 0.667
3 Na 0.667 0.333 0.333
4 La 0.000 0.000 0.500
5 La 0.333 0.667 0.167
6 La 0.667 0.333 0.833
7 O 0.000 0.000 0.239
8 O 0.000 0.000 0.761
9 O 0.333 0.667 0.428
10 O 0.333 0.667 0.905
11 O 0.667 0.333 0.095
12 O 0.667 0.333 0.572

Top 12 peaks for 10 to 80 degrees two-theta, low angle first:
2θ (°)	I (rel.)
15.8	93
28.5	57
30.0	67
31.9	20
35.3	100
38.9	21
47.3	19
49.5	37
52.1	30
52.3	25
60.1	21
62.3	27

=====

Entry 6:
For NaLaO2, a crystal structure in the Materials Project, relaxed with GGA-PBE gives the simulated powder X-ray diffraction pattern in this record (λ = 1.5418 Å (Cu Kα)).
Neutral-atom scattering factors, no anomalous dispersion.

Structural model:
Unit cell a=4.825 b=4.825 c=11.392 alpha=90.00 beta=90.00 gamma=90.00
Fractional coordinates of all 16 atoms:
1 Na 0.000 0.250 0.375
2 Na 0.000 0.750 0.625
3 Na 0.500 0.250 0.125
4 Na 0.500 0.750 0.875
5 La 0.000 0.250 0.875
6 La 0.000 0.750 0.125
7 La 0.500 0.250 0.625
8 La 0.500 0.750 0.375
9 O 0.000 0.250 0.092
10 O 0.000 0.250 0.658
11 O 0.000 0.750 0.342
12 O 0.000 0.750 0.908
13 O 0.500 0.250 0.408
14 O 0.500 0.250 0.842
15 O 0.500 0.750 0.158
16 O 0.500 0.750 0.592

Top 12 peaks for 10 to 80 degrees two-theta, low angle first:
2θ (°)	I (rel.)
20.0	100
29.9	22
30.5	82
31.4	39
37.3	54
42.6	28
43.9	17
49.5	41
53.7	18
55.4	21
63.1	22
63.6	19

=====

Entry 7:
For NaLa2OsO6, a crystal structure in the Materials Project, relaxed with GGA-PBE gives the simulated powder X-ray diffraction pattern in this record (λ = 1.5418 Å (Cu Kα)).
Neutral-atom scattering factors, no anomalous dispersion.

Structural model:
Unit cell a=5.655 b=6.027 c=9.846 alpha=90.00 beta=124.36 gamma=90.00
Fractional coordinates of all 20 atoms:
1 Na 0.000 0.000 0.000
2 Na 0.000 0.500 0.500
3 La 0.228 0.067 0.747
4 La 0.228 0.433 0.247
5 La 0.772 0.567 0.753
6 La 0.772 0.933 0.253
7 Os 0.500 0.000 0.500
8 Os 0.500 0.500 0.000
9 O 0.160 0.174 0.449
10 O 0.160 0.326 0.949
11 O 0.266 0.722 0.432
12 O 0.266 0.778 0.932
13 O 0.387 0.050 0.271
14 O 0.387 0.450 0.771
15 O 0.613 0.550 0.229
16 O 0.613 0.950 0.729
17 O 0.734 0.222 0.068
18 O 0.734 0.278 0.568
19 O 0.840 0.674 0.051
20 O 0.840 0.826 0.551

Top 12 peaks for 10 to 80 degrees two-theta, low angle first:
2θ (°)	I (rel.)
18.3	62
19.2	34
29.6	41
30.8	100
31.0	98
31.7	62
36.7	24
43.9	36
44.6	26
49.4	24
55.6	23
56.2	22

=====

Which formula does entry 4 have?
NaLaO2

=====

Which formula does entry 4 have?
NaLaO2